Structure and calculated X-ray diffraction stick pattern of In2FeS4 (a cell relaxed with GGA-PBE; CuKα).
Neutral-atom scattering factors, no anomalous dispersion.

Structure:
```
14
Lattice="0.000 5.338 5.338 5.338 0.000 5.338 5.338 5.338 0.000" Properties=species:S:1:pos:R:3 pbc="T T T"
In 0.000 0.000 0.000
In 2.669 2.669 0.000
In 2.669 0.000 2.669
In 0.000 2.669 2.669
Fe 4.004 4.004 4.004
Fe 6.673 6.673 6.673
S 8.021 5.325 5.325
S 2.656 2.656 2.656
S 5.352 5.352 2.656
S 5.352 2.656 5.352
S 5.325 8.021 5.325
S 5.325 5.325 8.021
S 8.021 8.021 8.021
S 2.656 5.352 5.352
```

Principal peaks in the range 5 to 70 degrees two-theta, sorted by position:
- 6.164 Å, I = 36
- 3.219 Å, I = 100
- 2.669 Å, I = 57
- 2.055 Å, I = 38
- 1.887 Å, I = 74
- 1.390 Å, I = 22